# CaDyV4O12
Calculated powder diffraction line list, Cu Kα X-rays. Input: a DFT-relaxed cell (GGA+U, Alexandria).
Lines closer than 0.1° are merged.

Crystal structure
Lattice parameters (Å, degrees): 7.4700 5.3618 5.3618 86.09 90.00 90.00
Sites, in units of the cell vectors:
Ca: 0.0000 0.0000 0.0000
Dy: 0.5000 0.4208 0.4208
V: 0.2470 0.4806 0.9603
V: 0.2470 0.9603 0.4806
V: 0.7530 0.4806 0.9603
V: 0.7530 0.9603 0.4806
O: 0.0000 0.4707 0.9015
O: 0.0000 0.9015 0.4707
O: 0.2213 0.2319 0.2319
O: 0.2494 0.1401 0.7322
O: 0.2494 0.7322 0.1401
O: 0.2954 0.6379 0.6379
O: 0.5000 0.4177 0.9947
O: 0.5000 0.9947 0.4177
O: 0.7046 0.6379 0.6379
O: 0.7506 0.1401 0.7322
O: 0.7506 0.7322 0.1401
O: 0.7787 0.2319 0.2319

Most intense lines, 2θ = 15–90°, in order of falling intensity:
2θ (°), d_spacing, Rel. int.
20.42, 4.349, 100
33.50, 2.675, 38
34.31, 2.614, 38
33.13, 2.704, 32
16.57, 5.349, 28
48.76, 1.868, 18
39.94, 2.257, 18
29.16, 3.062, 18
60.45, 1.531, 18
40.57, 2.224, 17